Structure and simulated powder diffractogram of NaCd6Ge2 (the PBE geometry in Alexandria; Cu Ka).

Largest 8 diffraction maxima, by angle, 2θ = 10–90°:
- 2θ = 33.14°, intensity 100
- 2θ = 38.57°, intensity 45
- 2θ = 40.25°, intensity 50
- 2θ = 43.70°, intensity 13
- 2θ = 58.23°, intensity 17
- 2θ = 60.91°, intensity 18
- 2θ = 68.67°, intensity 22
- 2θ = 72.04°, intensity 14

Structural model:
a b c (Å): 4.4812 4.4812 10.3570
angles (deg): 90.00 90.00 90.00
Fractional positions:
Na1 0.0000 0.0000 0.0000
Cd1 0.0000 0.0000 0.5000
Cd2 0.0000 0.5000 0.2829
Cd3 0.0000 0.5000 0.7171
Cd4 0.5000 0.0000 0.2829
Cd5 0.5000 0.0000 0.7171
Cd6 0.5000 0.5000 0.5000
Ge1 0.5000 0.5000 0.1203
Ge2 0.5000 0.5000 0.8797

Structure and simulated powder diffractogram of Pm3Sm2Hg3 (the PBE geometry in Alexandria; Cu Ka).

Largest 8 diffraction maxima, by angle, 2θ = 10–90°:
- 2θ = 31.83°, intensity 18
- 2θ = 32.79°, intensity 100
- 2θ = 46.36°, intensity 13
- 2θ = 47.72°, intensity 7
- 2θ = 57.32°, intensity 11
- 2θ = 58.55°, intensity 22
- 2θ = 59.12°, intensity 8
- 2θ = 68.75°, intensity 11

Structural model:
a b c (Å): 3.8114 5.4593 22.4921
angles (deg): 90.00 90.00 90.00
Fractional positions:
Pm1 0.0000 0.0000 0.0000
Pm2 0.0000 0.5000 0.1208
Pm3 0.0000 0.5000 0.8792
Pm4 0.5000 0.0000 0.3792
Pm5 0.5000 0.0000 0.6208
Pm6 0.5000 0.5000 0.5000
Sm1 0.0000 0.0000 0.2329
Sm2 0.0000 0.0000 0.7671
Sm3 0.5000 0.5000 0.2671
Sm4 0.5000 0.5000 0.7329
Hg1 0.0000 0.0000 0.5000
Hg2 0.0000 0.5000 0.3811
Hg3 0.0000 0.5000 0.6189
Hg4 0.5000 0.0000 0.1189
Hg5 0.5000 0.0000 0.8811
Hg6 0.5000 0.5000 0.0000

Structure and simulated powder diffractogram of Dy8Y4Ho (the PBE geometry in Alexandria; Cu Ka).

Largest 8 diffraction maxima, by angle, 2θ = 10–90°:
- 2θ = 29.01°, intensity 21
- 2θ = 29.50°, intensity 28
- 2θ = 31.20°, intensity 100
- 2θ = 32.76°, intensity 34
- 2θ = 36.63°, intensity 16
- 2θ = 38.88°, intensity 25
- 2θ = 49.99°, intensity 31
- 2θ = 59.12°, intensity 19

Structural model:
a b c (Å): 10.0130 10.0130 10.0130
angles (deg): 42.74 42.74 42.74
Fractional positions:
Dy1 0.1955 0.7503 0.7503
Dy2 0.2159 0.2159 0.2159
Dy3 0.2497 0.2497 0.8045
Dy4 0.2497 0.8045 0.2497
Dy5 0.7503 0.1955 0.7503
Dy6 0.7503 0.7503 0.1955
Dy7 0.7841 0.7841 0.7841
Dy8 0.8045 0.2497 0.2497
Y1 0.0000 0.0000 0.0000
Y2 0.0000 0.5000 0.5000
Y3 0.5000 0.0000 0.5000
Y4 0.5000 0.5000 0.0000
Ho1 0.5000 0.5000 0.5000

Structure and simulated powder diffractogram of Sm2ThSb3 (the PBE geometry in Alexandria; Cu Ka).

Largest 8 diffraction maxima, by angle, 2θ = 10–90°:
- 2θ = 28.14°, intensity 100
- 2θ = 40.22°, intensity 77
- 2θ = 49.81°, intensity 28
- 2θ = 58.24°, intensity 9
- 2θ = 65.78°, intensity 12
- 2θ = 65.88°, intensity 18
- 2θ = 73.06°, intensity 18
- 2θ = 73.18°, intensity 9

Structural model:
a b c (Å): 6.3519 13.4546 8.9538
angles (deg): 90.00 90.00 90.00
Fractional positions:
Sm1 0.2492 0.2498 0.3749
Sm2 0.2492 0.2502 0.8749
Sm3 0.2504 0.5834 0.3765
Sm4 0.2504 0.9166 0.8765
Sm5 0.7496 0.0834 0.1235
Sm6 0.7496 0.4166 0.6235
Sm7 0.7508 0.7498 0.1251
Sm8 0.7508 0.7502 0.6251
Th1 0.2504 0.5828 0.8744
Th2 0.2504 0.9172 0.3744
Th3 0.7496 0.0828 0.6256
Th4 0.7496 0.4172 0.1256
Sb1 0.2496 0.0838 0.1244
Sb2 0.2496 0.0839 0.6267
Sb3 0.2496 0.4161 0.1267
Sb4 0.2496 0.4162 0.6244
Sb5 0.2508 0.7497 0.1251
Sb6 0.2508 0.7503 0.6251
Sb7 0.7492 0.2497 0.3749
Sb8 0.7492 0.2503 0.8749
Sb9 0.7504 0.5838 0.3756
Sb10 0.7504 0.5839 0.8733
Sb11 0.7504 0.9161 0.3733
Sb12 0.7504 0.9162 0.8756

Structure and simulated powder diffractogram of Zr4RhO (the PBE geometry in Alexandria; Cu Ka).

Largest 8 diffraction maxima, by angle, 2θ = 10–90°:
- 2θ = 21.33°, intensity 22
- 2θ = 32.52°, intensity 100
- 2θ = 34.81°, intensity 24
- 2θ = 36.50°, intensity 81
- 2θ = 39.85°, intensity 49
- 2θ = 43.47°, intensity 37
- 2θ = 60.43°, intensity 27
- 2θ = 66.86°, intensity 25

Structural model:
a b c (Å): 4.5239 8.3327 6.2710
angles (deg): 90.00 90.00 90.00
Fractional positions:
Zr1 0.2500 0.0394 0.2002
Zr2 0.2500 0.2500 0.7469
Zr3 0.2500 0.4606 0.2002
Zr4 0.2500 0.7500 0.5743
Zr5 0.7500 0.2500 0.4257
Zr6 0.7500 0.5394 0.7998
Zr7 0.7500 0.7500 0.2531
Zr8 0.7500 0.9606 0.7998
Rh1 0.2500 0.7500 0.0224
Rh2 0.7500 0.2500 0.9776
O1 0.2500 0.2500 0.4049
O2 0.7500 0.7500 0.5951

Structure and simulated powder diffractogram of In5Hg2Pb5 (the PBE geometry in Alexandria; Cu Ka).

Largest 8 diffraction maxima, by angle, 2θ = 10–90°:
- 2θ = 31.92°, intensity 100
- 2θ = 32.07°, intensity 99
- 2θ = 35.23°, intensity 77
- 2θ = 40.66°, intensity 28
- 2θ = 50.68°, intensity 28
- 2θ = 54.87°, intensity 22
- 2θ = 61.11°, intensity 31
- 2θ = 61.24°, intensity 16

Structural model:
a b c (Å): 7.1281 7.1281 11.0859
angles (deg): 111.60 111.60 41.89
Fractional positions:
In1 0.0000 0.0000 0.0000
In2 0.0852 0.0852 0.7531
In3 0.1681 0.1681 0.5006
In4 0.8319 0.8319 0.4994
In5 0.9148 0.9148 0.2469
Hg1 0.3301 0.3301 0.9977
Hg2 0.6699 0.6699 0.0023
Pb1 0.2496 0.2496 0.2450
Pb2 0.4197 0.4197 0.7560
Pb3 0.5000 0.5000 0.5000
Pb4 0.5803 0.5803 0.2440
Pb5 0.7504 0.7504 0.7550

Structure and simulated powder diffractogram of CsPaH2Cl8 (the PBE geometry in Alexandria; Cu Ka).

Largest 8 diffraction maxima, by angle, 2θ = 10–90°:
- 2θ = 12.86°, intensity 100
- 2θ = 14.12°, intensity 82
- 2θ = 17.48°, intensity 54
- 2θ = 19.66°, intensity 35
- 2θ = 19.94°, intensity 40
- 2θ = 20.67°, intensity 45
- 2θ = 27.54°, intensity 36
- 2θ = 31.64°, intensity 58

Structural model:
a b c (Å): 6.9603 7.1529 9.4688
angles (deg): 93.05 108.24 103.66
Fractional positions:
Cs1 0.0000 0.0000 0.0000
Pa1 0.5000 0.0000 0.5000
H1 0.0247 0.4314 0.7384
H2 0.9753 0.5686 0.2616
Cl1 0.1705 0.4842 0.8705
Cl2 0.1853 0.1385 0.3951
Cl3 0.2475 0.6656 0.4774
Cl4 0.4922 0.9206 0.2304
Cl5 0.5078 0.0794 0.7696
Cl6 0.7525 0.3344 0.5226
Cl7 0.8147 0.8615 0.6049
Cl8 0.8295 0.5158 0.1295

Structure and simulated powder diffractogram of Y2In8Rh (the PBE geometry in Alexandria; Cu Ka).

Largest 8 diffraction maxima, by angle, 2θ = 10–90°:
- 2θ = 30.90°, intensity 27
- 2θ = 35.13°, intensity 100
- 2θ = 36.94°, intensity 16
- 2θ = 38.71°, intensity 54
- 2θ = 54.58°, intensity 20
- 2θ = 55.90°, intensity 18
- 2θ = 67.76°, intensity 28
- 2θ = 67.89°, intensity 13

Structural model:
a b c (Å): 4.6519 4.6519 12.1684
angles (deg): 90.00 90.00 90.00
Fractional positions:
Y1 0.0000 0.0000 0.1906
Y2 0.0000 0.0000 0.8094
In1 0.0000 0.5000 0.0000
In2 0.0000 0.5000 0.3772
In3 0.0000 0.5000 0.6228
In4 0.5000 0.0000 0.0000
In5 0.5000 0.0000 0.3772
In6 0.5000 0.0000 0.6228
In7 0.5000 0.5000 0.1910
In8 0.5000 0.5000 0.8090
Rh1 0.0000 0.0000 0.5000

Structure and simulated powder diffractogram of YPt (the PBE geometry in Alexandria; Cu Ka).

Largest 8 diffraction maxima, by angle, 2θ = 10–90°:
- 2θ = 23.69°, intensity 33
- 2θ = 32.35°, intensity 36
- 2θ = 33.16°, intensity 42
- 2θ = 35.93°, intensity 100
- 2θ = 36.25°, intensity 54
- 2θ = 39.40°, intensity 50
- 2θ = 39.76°, intensity 64
- 2θ = 43.57°, intensity 55

Structural model:
a b c (Å): 5.5677 5.7117 11.1820
angles (deg): 90.00 90.00 90.00
Fractional positions:
Y1 0.1562 0.0668 0.0199
Y2 0.1686 0.6264 0.8030
Y3 0.3314 0.3736 0.3030
Y4 0.3438 0.9332 0.5199
Y5 0.6562 0.4332 0.9801
Y6 0.6686 0.8736 0.1970
Y7 0.8314 0.1264 0.6970
Y8 0.8438 0.5668 0.4801
Pt1 0.1683 0.5644 0.0631
Pt2 0.1710 0.8768 0.2704
Pt3 0.3290 0.1232 0.7704
Pt4 0.3317 0.4356 0.5631
Pt5 0.6683 0.9356 0.9369
Pt6 0.6710 0.6232 0.7296
Pt7 0.8290 0.3767 0.2296
Pt8 0.8317 0.0644 0.4369

Structure and simulated powder diffractogram of Ba3ErZn2O6 (the PBE geometry in Alexandria; Cu Ka).

Largest 8 diffraction maxima, by angle, 2θ = 10–90°:
- 2θ = 12.58°, intensity 20
- 2θ = 29.08°, intensity 100
- 2θ = 30.46°, intensity 85
- 2θ = 42.61°, intensity 47
- 2θ = 51.55°, intensity 20
- 2θ = 52.41°, intensity 37
- 2θ = 60.27°, intensity 17
- 2θ = 69.03°, intensity 19

Structural model:
a b c (Å): 6.1419 6.1419 7.0389
angles (deg): 90.00 90.00 120.00
Fractional positions:
Ba1 0.0000 0.0000 0.0000
Ba2 0.3333 0.6667 0.6435
Ba3 0.6667 0.3333 0.3565
Er1 0.0000 0.0000 0.5000
Zn1 0.3333 0.6667 0.2004
Zn2 0.6667 0.3333 0.7996
O1 0.1662 0.3323 0.3080
O2 0.1662 0.8338 0.3080
O3 0.3323 0.1662 0.6920
O4 0.6677 0.8338 0.3080
O5 0.8338 0.1662 0.6920
O6 0.8338 0.6677 0.6920

Structure and simulated powder diffractogram of Na3ThSc2Te6 (the PBE geometry in Alexandria; Cu Ka).

Largest 8 diffraction maxima, by angle, 2θ = 10–90°:
- 2θ = 11.61°, intensity 25
- 2θ = 25.11°, intensity 14
- 2θ = 28.57°, intensity 100
- 2θ = 39.73°, intensity 38
- 2θ = 41.94°, intensity 37
- 2θ = 51.54°, intensity 18
- 2θ = 59.15°, intensity 11
- 2θ = 68.54°, intensity 15

Structural model:
a b c (Å): 7.4623 7.4623 8.0201
angles (deg): 98.96 98.96 120.03
Fractional positions:
Na1 0.0000 0.0000 0.0000
Na2 0.3393 0.6607 0.0000
Na3 0.6607 0.3393 0.0000
Th1 0.5000 0.5000 0.5000
Sc1 0.1677 0.8323 0.5000
Sc2 0.8323 0.1677 0.5000
Te1 0.0745 0.4232 0.2708
Te2 0.2268 0.2268 0.7277
Te3 0.4232 0.0745 0.2708
Te4 0.5768 0.9255 0.7292
Te5 0.7732 0.7732 0.2723
Te6 0.9255 0.5768 0.7292

Structure and simulated powder diffractogram of CdSiPt (the PBE geometry in Alexandria; Cu Ka).

Largest 8 diffraction maxima, by angle, 2θ = 10–90°:
- 2θ = 25.65°, intensity 28
- 2θ = 26.77°, intensity 27
- 2θ = 32.91°, intensity 100
- 2θ = 33.52°, intensity 60
- 2θ = 34.40°, intensity 60
- 2θ = 41.48°, intensity 35
- 2θ = 43.88°, intensity 29
- 2θ = 45.87°, intensity 29

Structural model:
a b c (Å): 3.7486 3.9566 7.2543
angles (deg): 90.00 90.00 90.00
Fractional positions:
Cd1 0.2500 0.2500 0.1079
Cd2 0.7500 0.7500 0.8921
Si1 0.2500 0.7500 0.5095
Si2 0.7500 0.2500 0.4905
Pt1 0.2500 0.2500 0.7006
Pt2 0.7500 0.7500 0.2994